Simulated powder X-ray diffraction pattern of Tl2HgO4 for λ = 1.5418 Å (Cu Kα), from DFT lattice parameters and positions (PBE).
Lines closer than 0.1° are merged.

Structural model:
Cell: 6.8015 6.8015 6.8015 Å, 60.00 60.00 60.00°
Atoms (fractional coordinates):
Tl: 0.0000 0.0000 0.0000
Tl: 0.0000 0.0000 0.5000
Tl: 0.0000 0.5000 0.0000
Tl: 0.5000 0.0000 0.0000
Hg: 0.3750 0.3750 0.3750
Hg: 0.6250 0.6250 0.6250
O: 0.2140 0.7620 0.7620
O: 0.2380 0.2380 0.2380
O: 0.2380 0.2380 0.7860
O: 0.2380 0.7860 0.2380
O: 0.7620 0.2140 0.7620
O: 0.7620 0.7620 0.2140
O: 0.7620 0.7620 0.7620
O: 0.7860 0.2380 0.2380

Largest 10 diffraction maxima, low angle first, 10° ≤ 2θ ≤ 90°:
| 2θ/deg | intensity |
| --- | --- |
| 26.2 | 27 |
| 30.8 | 100 |
| 32.2 | 29 |
| 46.2 | 12 |
| 49.2 | 39 |
| 53.9 | 39 |
| 63.4 | 13 |
| 64.2 | 14 |
| 76.0 | 23 |
| 87.9 | 14 |

---

Simulated powder X-ray diffraction pattern of Tc2AuSe4 for λ = 1.5418 Å (Cu Kα), from DFT lattice parameters and positions (PBE).
Lines closer than 0.1° are merged.

Structural model:
Cell: 7.5625 7.5625 7.5625 Å, 60.00 60.00 60.00°
Atoms (fractional coordinates):
Tc: 0.0000 0.0000 0.0000
Tc: 0.0000 0.0000 0.5000
Tc: 0.0000 0.5000 0.0000
Tc: 0.5000 0.0000 0.0000
Au: 0.3750 0.3750 0.3750
Au: 0.6250 0.6250 0.6250
Se: 0.2153 0.7616 0.7616
Se: 0.2384 0.2384 0.2384
Se: 0.2384 0.2384 0.7847
Se: 0.2384 0.7847 0.2384
Se: 0.7616 0.2153 0.7616
Se: 0.7616 0.7616 0.2153
Se: 0.7616 0.7616 0.7616
Se: 0.7847 0.2384 0.2384

Largest 10 diffraction maxima, low angle first, 10° ≤ 2θ ≤ 90°:
| 2θ/deg | intensity |
| --- | --- |
| 23.5 | 59 |
| 27.7 | 100 |
| 33.5 | 28 |
| 41.4 | 24 |
| 44.0 | 59 |
| 48.1 | 100 |
| 65.3 | 16 |
| 67.2 | 21 |
| 77.3 | 16 |
| 89.9 | 30 |

---

Simulated powder X-ray diffraction pattern of CdMoPt6 for λ = 1.5418 Å (Cu Kα), from DFT lattice parameters and positions (PBE).
Lines closer than 0.1° are merged.

Structural model:
Cell: 4.0016 4.0016 8.0024 Å, 90.00 90.00 90.00°
Atoms (fractional coordinates):
Cd: 0.0000 0.0000 0.0000
Mo: 0.0000 0.0000 0.5000
Pt: 0.0000 0.5000 0.2628
Pt: 0.0000 0.5000 0.7372
Pt: 0.5000 0.0000 0.2628
Pt: 0.5000 0.0000 0.7372
Pt: 0.5000 0.5000 0.0000
Pt: 0.5000 0.5000 0.5000

Largest 10 diffraction maxima, low angle first, 10° ≤ 2θ ≤ 90°:
| 2θ/deg | intensity |
| --- | --- |
| 22.2 | 5 |
| 31.6 | 4 |
| 33.6 | 1 |
| 39.0 | 100 |
| 45.3 | 49 |
| 51.0 | 2 |
| 56.3 | 2 |
| 66.0 | 31 |
| 79.4 | 37 |
| 83.7 | 11 |

---

Simulated powder X-ray diffraction pattern of Zn for λ = 1.5418 Å (Cu Kα), from DFT lattice parameters and positions (PBE).
Lines closer than 0.1° are merged.

Structural model:
Cell: 2.6874 2.6874 4.6042 Å, 90.00 90.00 120.00°
Atoms (fractional coordinates):
Zn: 0.3333 0.6667 0.2500
Zn: 0.6667 0.3333 0.7500

Largest 10 diffraction maxima, low angle first, 10° ≤ 2θ ≤ 90°:
| 2θ/deg | intensity |
| --- | --- |
| 38.7 | 24 |
| 39.1 | 30 |
| 43.6 | 100 |
| 56.2 | 15 |
| 70.0 | 15 |
| 74.0 | 19 |
| 83.0 | 2 |
| 83.3 | 18 |
| 84.1 | 3 |
| 86.2 | 12 |

---

Simulated powder X-ray diffraction pattern of DyYCd6 for λ = 1.5418 Å (Cu Kα), from DFT lattice parameters and positions (PBE).
Lines closer than 0.1° are merged.

Structural model:
Cell: 5.0629 7.1377 5.0628 Å, 90.00 90.00 90.00°
Atoms (fractional coordinates):
Dy: 0.0000 0.0000 0.0000
Y: 0.5000 0.5000 0.5084
Cd: 0.0000 0.2493 0.4995
Cd: 0.0000 0.5000 0.0006
Cd: 0.0000 0.7507 0.4995
Cd: 0.5000 0.0000 0.5079
Cd: 0.5000 0.2494 0.0090
Cd: 0.5000 0.7506 0.0090

Largest 10 diffraction maxima, low angle first, 10° ≤ 2θ ≤ 90°:
| 2θ/deg | intensity |
| --- | --- |
| 12.4 | 1 |
| 35.5 | 100 |
| 51.0 | 11 |
| 51.2 | 6 |
| 63.7 | 23 |
| 63.8 | 11 |
| 75.0 | 4 |
| 75.2 | 7 |
| 85.9 | 10 |
| 86.1 | 5 |

---

Simulated powder X-ray diffraction pattern of ThFe4P2 for λ = 1.5418 Å (Cu Kα), from DFT lattice parameters and positions (PBE).
Lines closer than 0.1° are merged.

Structural model:
Cell: 10.6812 14.2294 3.7018 Å, 90.00 90.00 90.00°
Atoms (fractional coordinates):
Th: 0.0000 0.0000 0.0000
Th: 0.1234 0.2741 0.0000
Th: 0.3766 0.7741 0.5000
Th: 0.5000 0.5000 0.5000
Th: 0.6234 0.2259 0.5000
Th: 0.8766 0.7259 0.0000
Fe: 0.0679 0.8251 0.5000
Fe: 0.0775 0.5542 0.0000
Fe: 0.0913 0.4483 0.5000
Fe: 0.1781 0.7108 0.0000
Fe: 0.2344 0.5785 0.5000
Fe: 0.2402 0.9630 0.5000
Fe: 0.2598 0.4630 0.0000
Fe: 0.2656 0.0785 0.0000
Fe: 0.3219 0.2108 0.5000
Fe: 0.4087 0.9483 0.0000
Fe: 0.4225 0.0542 0.5000
Fe: 0.4321 0.3251 0.0000
Fe: 0.5679 0.6749 0.0000
Fe: 0.5775 0.9458 0.5000
Fe: 0.5913 0.0517 0.0000
Fe: 0.6781 0.7892 0.5000
Fe: 0.7344 0.9215 0.0000
Fe: 0.7402 0.5370 0.0000
Fe: 0.7598 0.0370 0.5000
Fe: 0.7656 0.4215 0.5000
Fe: 0.8219 0.2892 0.0000
Fe: 0.9087 0.5517 0.5000
Fe: 0.9225 0.4458 0.0000
Fe: 0.9321 0.1749 0.5000
P: 0.0708 0.6659 0.5000
P: 0.1499 0.1138 0.5000
P: 0.2033 0.8682 0.0000
P: 0.2967 0.3682 0.5000
P: 0.3501 0.6138 0.0000
P: 0.4292 0.1659 0.0000
P: 0.5708 0.8341 0.0000
P: 0.6499 0.3862 0.0000
P: 0.7033 0.6318 0.5000
P: 0.7967 0.1318 0.0000
P: 0.8501 0.8862 0.5000
P: 0.9292 0.3341 0.5000

Largest 10 diffraction maxima, low angle first, 10° ≤ 2θ ≤ 90°:
| 2θ/deg | intensity |
| --- | --- |
| 17.7 | 21 |
| 25.1 | 49 |
| 25.5 | 30 |
| 30.6 | 26 |
| 36.0 | 100 |
| 37.2 | 75 |
| 39.9 | 67 |
| 45.4 | 21 |
| 49.2 | 43 |
| 74.2 | 23 |